Structure and theoretical powder X-ray diffraction pattern of NpCdGaCu (a structure optimized by DFT (PBE); copper Kα).
Kinematic intensities with the Lorentz-polarization factor, no thermal factor.

Top 12 peaks for 10 to 90 degrees two-theta, by angle:
22.64 deg, I = 13
26.20 deg, I = 21
37.40 deg, I = 100
44.16 deg, I = 7
46.24 deg, I = 6
53.92 deg, I = 17
59.22 deg, I = 3
60.92 deg, I = 9
67.46 deg, I = 35
79.76 deg, I = 11
84.22 deg, I = 3
85.70 deg, I = 5

abc: 6.801 6.801 6.801
angles: 90.00 90.00 90.00
Space group F-43m (No. 216)
Inequivalent atoms, fractional coordinates:
Np  0.000  0.000  0.000
Cd  0.000  0.000  0.500
Ga  0.250  0.250  0.250
Cu  0.250  0.250  0.750